Structure and simulated PXRD pattern of NaMg14BO16 (DFT lattice parameters and positions (PBE); Cu Ka).
Peak positions follow from Bragg's law for the DFT cell and can differ from measured ones.

Largest 8 diffraction maxima, by angle, 15° ≤ 2θ ≤ 90°:
2θ = 36.69°, d 2.450, rel. 16.0; 2θ = 42.04°, d 2.149, rel. 57.3; 2θ = 42.91°, d 2.108, rel. 100.0; 2θ = 61.63°, d 1.505, rel. 57.9; 2θ = 62.29°, d 1.491, rel. 26.1; 2θ = 73.30°, d 1.291, rel. 3.8; 2θ = 74.52°, d 1.273, rel. 9.3; 2θ = 78.01°, d 1.225, rel. 24.2

Structural model:
```
NaMg14BO16
1.0
8.4315 0.0000 0.0000
0.0000 8.4315 0.0000
0.0000 0.0000 4.2988
Na Mg B O
1 14 1 16
Direct
0.0000 0.0000 0.0000
0.0000 0.2463 0.5000
0.0000 0.5000 0.0000
0.0000 0.7537 0.5000
0.2463 0.0000 0.5000
0.2497 0.2497 0.0000
0.2497 0.7503 0.0000
0.2582 0.5000 0.5000
0.5000 0.0000 0.0000
0.5000 0.2582 0.5000
0.5000 0.7418 0.5000
0.7418 0.5000 0.5000
0.7503 0.2497 0.0000
0.7503 0.7503 0.0000
0.7537 0.0000 0.5000
0.5000 0.5000 0.0000
0.0000 0.0000 0.5000
0.0000 0.2691 0.0000
0.0000 0.5000 0.5000
0.0000 0.7309 0.0000
0.2513 0.2513 0.5000
0.2513 0.7487 0.5000
0.2691 0.0000 0.0000
0.2937 0.5000 0.0000
0.5000 0.0000 0.5000
0.5000 0.2937 0.0000
0.5000 0.5000 0.5000
0.5000 0.7063 0.0000
0.7063 0.5000 0.0000
0.7309 0.0000 0.0000
0.7487 0.2513 0.5000
0.7487 0.7487 0.5000
```


Structure and simulated PXRD pattern of NaMg14BO16 (DFT lattice parameters and positions (PBE); Cu Ka).
Peak positions follow from Bragg's law for the DFT cell and can differ from measured ones.

Largest 8 diffraction maxima, by angle, 15° ≤ 2θ ≤ 90°:
2θ = 36.51°, d 2.461, rel. 29.2; 2θ = 41.50°, d 2.176, rel. 100.0; 2θ = 41.92°, d 2.155, rel. 98.4; 2θ = 43.78°, d 2.068, rel. 73.6; 2θ = 60.46°, d 1.531, rel. 55.3; 2θ = 61.90°, d 1.499, rel. 44.3; 2θ = 62.21°, d 1.492, rel. 44.3; 2θ = 77.58°, d 1.231, rel. 41.1

Structural model:
```
NaMg14BO16
1.0
4.3107 0.0000 0.0000
0.0000 8.2716 0.0000
0.0000 0.0000 8.7037
Na Mg B O
1 14 1 16
Direct
0.0000 0.0000 0.0000
0.0000 0.0000 0.5000
0.0000 0.2538 0.2584
0.0000 0.2538 0.7416
0.0000 0.5000 0.5000
0.0000 0.7462 0.2584
0.0000 0.7462 0.7416
0.5000 0.0000 0.2459
0.5000 0.0000 0.7541
0.5000 0.2496 0.5000
0.5000 0.2581 0.0000
0.5000 0.5000 0.2469
0.5000 0.5000 0.7531
0.5000 0.7419 0.0000
0.5000 0.7504 0.5000
0.0000 0.5000 0.0000
0.0000 0.0000 0.2581
0.0000 0.0000 0.7419
0.0000 0.2500 0.5000
0.0000 0.3301 0.0000
0.0000 0.5000 0.2619
0.0000 0.5000 0.7381
0.0000 0.6699 0.0000
0.0000 0.7500 0.5000
0.5000 0.0000 0.0000
0.5000 0.0000 0.5000
0.5000 0.2502 0.2451
0.5000 0.2502 0.7549
0.5000 0.5000 0.0000
0.5000 0.5000 0.5000
0.5000 0.7498 0.2451
0.5000 0.7498 0.7549
```


Structure and simulated PXRD pattern of NaMg6BO7 (DFT lattice parameters and positions (PBE); Cu Ka).
Peak positions follow from Bragg's law for the DFT cell and can differ from measured ones.

Largest 8 diffraction maxima, by angle, 15° ≤ 2θ ≤ 90°:
2θ = 20.15°, d 4.407, rel. 9.6; 2θ = 36.49°, d 2.463, rel. 19.0; 2θ = 40.96°, d 2.203, rel. 100.0; 2θ = 45.12°, d 2.010, rel. 32.0; 2θ = 59.32°, d 1.558, rel. 28.4; 2θ = 62.56°, d 1.485, rel. 41.6; 2θ = 71.68°, d 1.317, rel. 7.9; 2θ = 77.53°, d 1.231, rel. 24.3

Structural model:
```
NaMg6BO7
1.0
4.4067 0.0000 0.0000
0.0000 4.4067 0.0000
0.0000 0.0000 8.0383
Na Mg B O
1 6 1 7
Direct
0.0000 0.0000 0.0000
0.0000 0.5000 0.2615
0.0000 0.5000 0.7502
0.5000 0.0000 0.2615
0.5000 0.0000 0.7502
0.5000 0.5000 0.0057
0.5000 0.5000 0.5052
0.0000 0.0000 0.5093
0.0000 0.0000 0.6870
0.0000 0.5000 0.0065
0.0000 0.5000 0.5042
0.5000 0.0000 0.0065
0.5000 0.0000 0.5042
0.5000 0.5000 0.2560
0.5000 0.5000 0.7547
```


Structure and simulated PXRD pattern of Mg14NbB (DFT lattice parameters and positions (PBE); Cu Ka).
Peak positions follow from Bragg's law for the DFT cell and can differ from measured ones.

Largest 8 diffraction maxima, by angle, 15° ≤ 2θ ≤ 90°:
2θ = 16.67°, d 5.319, rel. 18.5; 2θ = 18.89°, d 4.699, rel. 28.1; 2θ = 33.70°, d 2.659, rel. 28.5; 2θ = 35.81°, d 2.507, rel. 40.2; 2θ = 37.66°, d 2.388, rel. 57.5; 2θ = 38.31°, d 2.349, rel. 100.0; 2θ = 66.01°, d 1.415, rel. 17.9; 2θ = 71.30°, d 1.323, rel. 18.9

Structural model:
```
Mg14NbB
1.0
10.0296 0.0000 0.0000
0.0000 3.0496 5.4328
0.0000 -3.0496 5.4328
Mg Nb B
14 1 1
Direct
0.0000 0.0000 0.0000
0.0000 0.0034 0.4994
0.0000 0.4994 0.0034
0.0000 0.4986 0.4986
0.2516 0.6622 0.6622
0.2640 0.1588 0.1588
0.2661 0.1652 0.6724
0.2661 0.6724 0.1652
0.5000 0.5061 0.9965
0.5000 0.9965 0.5061
0.7339 0.1652 0.6724
0.7339 0.6724 0.1652
0.7360 0.1588 0.1588
0.7484 0.6622 0.6622
0.5000 0.5061 0.5061
0.5000 0.9983 0.9983
```


Structure and simulated PXRD pattern of Mg14NbB (DFT lattice parameters and positions (PBE); Cu Ka).
Peak positions follow from Bragg's law for the DFT cell and can differ from measured ones.

Largest 8 diffraction maxima, by angle, 15° ≤ 2θ ≤ 90°:
2θ = 18.78°, d 4.726, rel. 26.8; 2θ = 33.32°, d 2.689, rel. 25.3; 2θ = 36.28°, d 2.476, rel. 25.4; 2θ = 38.08°, d 2.363, rel. 100.0; 2θ = 50.08°, d 1.821, rel. 15.2; 2θ = 59.55°, d 1.552, rel. 16.6; 2θ = 66.46°, d 1.407, rel. 17.5; 2θ = 71.76°, d 1.315, rel. 18.1

Structural model:
```
Mg14NbB
1.0
6.2096 0.0000 0.0000
-3.1048 5.3777 0.0000
0.0000 0.0000 9.9048
Mg Nb B
14 1 1
Direct
0.0000 0.0000 0.2429
0.0000 0.0000 0.7571
0.0200 0.5100 0.2569
0.0200 0.5100 0.7431
0.3305 0.1652 0.5000
0.3403 0.1702 0.0000
0.4900 0.5100 0.2569
0.4900 0.5100 0.7431
0.4900 0.9800 0.2569
0.4900 0.9800 0.7431
0.8298 0.1702 0.0000
0.8298 0.6597 0.0000
0.8348 0.1652 0.5000
0.8348 0.6695 0.5000
0.3333 0.6667 0.0000
0.3333 0.6667 0.5000
```


Question: Number 3 is which compound?
Answer: NaMg6BO7


Copy entry 1 word for word.
Structure and simulated PXRD pattern of NaMg14BO16 (DFT lattice parameters and positions (PBE); Cu Ka).
Peak positions follow from Bragg's law for the DFT cell and can differ from measured ones.

Largest 8 diffraction maxima, by angle, 15° ≤ 2θ ≤ 90°:
2θ = 36.69°, d 2.450, rel. 16.0; 2θ = 42.04°, d 2.149, rel. 57.3; 2θ = 42.91°, d 2.108, rel. 100.0; 2θ = 61.63°, d 1.505, rel. 57.9; 2θ = 62.29°, d 1.491, rel. 26.1; 2θ = 73.30°, d 1.291, rel. 3.8; 2θ = 74.52°, d 1.273, rel. 9.3; 2θ = 78.01°, d 1.225, rel. 24.2

Structural model:
```
NaMg14BO16
1.0
8.4315 0.0000 0.0000
0.0000 8.4315 0.0000
0.0000 0.0000 4.2988
Na Mg B O
1 14 1 16
Direct
0.0000 0.0000 0.0000
0.0000 0.2463 0.5000
0.0000 0.5000 0.0000
0.0000 0.7537 0.5000
0.2463 0.0000 0.5000
0.2497 0.2497 0.0000
0.2497 0.7503 0.0000
0.2582 0.5000 0.5000
0.5000 0.0000 0.0000
0.5000 0.2582 0.5000
0.5000 0.7418 0.5000
0.7418 0.5000 0.5000
0.7503 0.2497 0.0000
0.7503 0.7503 0.0000
0.7537 0.0000 0.5000
0.5000 0.5000 0.0000
0.0000 0.0000 0.5000
0.0000 0.2691 0.0000
0.0000 0.5000 0.5000
0.0000 0.7309 0.0000
0.2513 0.2513 0.5000
0.2513 0.7487 0.5000
0.2691 0.0000 0.0000
0.2937 0.5000 0.0000
0.5000 0.0000 0.5000
0.5000 0.2937 0.0000
0.5000 0.5000 0.5000
0.5000 0.7063 0.0000
0.7063 0.5000 0.0000
0.7309 0.0000 0.0000
0.7487 0.2513 0.5000
0.7487 0.7487 0.5000
```